Simulated powder XRD pattern of Mn3Ga4Ni9 for Cu Kα X-rays, from a DFT-relaxed cell (PBE, the Materials Project).
Kinematic intensities with the Lorentz-polarization factor, no thermal factor.

The 4 most intense peaks (2θ from 15° to 90°), in order of falling intensity:
| Position (°2θ) | I_rel | hkl |
| --- | --- | --- |
| 44.41 | 100 | 2 2 0 |
| 81.77 | 30 | 4 2 2 |
| 64.61 | 15 | 4 0 0 |
| 26.76 | 1 | 1 1 1 |

Crystal structure
```
data_Mn3Ga4Ni9
_chemical_formula_sum 'Mn3 Ga4 Ni9'
_cell_length_a 5.7697
_cell_length_b 5.7697
_cell_length_c 5.7697
_cell_angle_alpha 90.00
_cell_angle_beta 90.00
_cell_angle_gamma 90.00
_space_group_name_H-M_alt 'P m -3 m'
_space_group_IT_number 221
_space_group_name_Hall '-P 4 2 3'
loop_
_atom_site_label
_atom_site_type_symbol
_atom_site_fract_x
_atom_site_fract_y
_atom_site_fract_z
_atom_site_occupancy
Mn1 Mn 0.0000 0.0000 0.5000 1
Ga1 Ga 0.0000 0.0000 0.0000 1
Ga2 Ga 0.0000 0.5000 0.5000 1
Ni1 Ni 0.2515 0.2515 0.2515 1
Ni2 Ni 0.5000 0.5000 0.5000 1
```